Entry 1:
This entry pairs a crystal structure of Er3Ge5 with its theoretical powder diffraction line list. Radiation: copper Kα. Structure: a DFT-relaxed cell (PBE, Alexandria).

Cell and atoms:
```
16
Lattice="0.000 8.650 6.822 2.869 0.000 6.822 2.869 8.650 0.000" Properties=species:S:1:pos:R:3 pbc="T T T"
Er 0.000 0.000 0.000
Er 1.434 4.325 3.411
Er 2.968 5.747 6.707
Er 4.203 10.072 10.118
Er 2.769 11.553 6.707
Er 4.402 15.878 10.118
Ge 1.411 1.511 2.221
Ge 2.845 2.814 5.632
Ge 3.912 9.725 4.736
Ge 1.458 7.139 2.221
Ge 2.477 3.250 8.147
Ge 1.825 7.575 4.736
Ge 2.869 8.650 7.537
Ge 2.892 14.486 5.632
Ge 4.303 12.975 10.948
Ge 3.260 14.050 8.147
```

Peak list (12 most intense, 5 to 70 degrees two-theta, in order of rising 2θ)
2θ (°), d [Å], I_rel
22.82, 3.898, 19
26.12, 3.411, 21
29.46, 3.032, 90
33.75, 2.656, 100
33.90, 2.644, 96
39.78, 2.266, 86
44.56, 2.033, 72
52.03, 1.758, 32
52.38, 1.747, 19
54.22, 1.692, 10
61.15, 1.516, 20
61.34, 1.511, 18

=====

Entry 2:
This entry pairs a crystal structure of Er4GeHS2 with its theoretical powder diffraction line list. Radiation: copper Kα. Structure: a DFT-relaxed cell (PBE, Alexandria).

Cell and atoms:
```
8
Lattice="0.000 5.518 3.905 3.874 0.000 3.905 3.874 5.518 0.000" Properties=species:S:1:pos:R:3 pbc="T T T"
Er 3.874 2.746 3.905
Er 5.666 5.518 5.764
Er 3.874 8.290 3.905
Er 2.083 5.518 5.764
Ge 3.874 5.518 0.061
H 3.874 5.518 4.257
S 1.937 2.759 1.947
S 5.812 8.277 5.852
```

Peak list (12 most intense, 5 to 70 degrees two-theta, in order of rising 2θ)
2θ (°), d [Å], I_rel
27.99, 3.187, 62
28.14, 3.171, 59
32.45, 2.759, 52
32.56, 2.750, 100
46.51, 1.952, 18
46.63, 1.948, 73
46.90, 1.937, 17
55.25, 1.663, 38
55.51, 1.655, 17
57.86, 1.594, 19
58.19, 1.585, 18
68.20, 1.375, 11

=====

Entry 3:
This entry pairs a crystal structure of Er2Sc4Ge3H2 with its theoretical powder diffraction line list. Radiation: copper Kα. Structure: a DFT-relaxed cell (PBE, Alexandria).

Cell and atoms:
```
11
Lattice="-2.142 2.142 11.244 2.142 -2.142 11.244 2.142 2.142 -11.244" Properties=species:S:1:pos:R:3 pbc="T T T"
Er 0.000 0.000 4.467
Er 0.000 0.000 18.021
Sc 2.142 0.000 1.778
Sc 2.142 0.000 9.466
Sc 0.000 2.142 1.778
Sc 0.000 2.142 9.466
Ge 0.000 0.000 7.437
Ge 0.000 0.000 11.244
Ge 0.000 0.000 15.051
H 0.000 0.000 2.157
H 0.000 0.000 20.331
```

Peak list (12 most intense, 5 to 70 degrees two-theta, in order of rising 2θ)
2θ (°), d [Å], I_rel
7.86, 11.244, 91
23.93, 3.719, 49
28.78, 3.102, 22
29.49, 3.029, 54
30.57, 2.925, 92
31.83, 2.811, 27
34.91, 2.570, 74
38.20, 2.356, 100
42.19, 2.142, 77
53.81, 1.704, 24
55.88, 1.645, 38
61.20, 1.514, 25

=====

Entry 4:
This entry pairs a crystal structure of ErHgGeO4 with its theoretical powder diffraction line list. Radiation: copper Kα. Structure: a DFT-relaxed cell (PBE, Alexandria).

Cell and atoms:
```
14
Lattice="5.838 -3.099 0.000 5.838 3.099 0.000 -1.489 0.000 6.699" Properties=species:S:1:pos:R:3 pbc="T T T"
Er 1.848 0.000 2.393
Er 8.340 0.000 4.305
Hg 4.556 0.000 0.073
Hg 5.631 0.000 6.626
Ge 0.353 0.000 5.108
Ge 9.835 0.000 1.591
O -0.125 0.000 1.637
O 3.172 1.772 2.463
O 2.414 0.000 0.127
O 7.016 1.772 4.236
O 3.172 -1.772 2.463
O 7.774 0.000 6.572
O 7.016 -1.772 4.236
O 10.313 0.000 5.061
```

Peak list (12 most intense, 5 to 70 degrees two-theta, in order of rising 2θ)
2θ (°), d [Å], I_rel
15.55, 5.699, 27
22.08, 4.026, 100
28.81, 3.099, 80
29.83, 2.995, 98
31.35, 2.854, 40
32.86, 2.726, 52
34.78, 2.579, 34
40.41, 2.232, 26
42.24, 2.140, 35
43.09, 2.099, 43
45.45, 1.995, 25
51.69, 1.769, 24

=====

Entry 5:
This entry pairs a crystal structure of HoEr4Ge4 with its theoretical powder diffraction line list. Radiation: copper Kα. Structure: a DFT-relaxed cell (PBE, Alexandria).

Cell and atoms:
```
18
Lattice="9.075 0.000 0.000 0.000 9.075 0.000 0.000 0.000 5.764" Properties=species:S:1:pos:R:3 pbc="T T T"
Ho 2.269 2.269 1.441
Ho 6.806 6.806 4.323
Er 0.733 5.940 0.791
Er 1.403 8.342 3.673
Er 3.135 5.270 3.673
Er 3.805 7.672 0.791
Er 5.270 1.403 4.973
Er 5.940 3.805 2.091
Er 7.672 0.733 2.091
Er 8.342 3.135 4.973
Ge 0.257 5.608 3.682
Ge 1.070 8.818 0.800
Ge 3.467 4.794 0.800
Ge 4.281 8.005 3.682
Ge 4.794 1.070 2.082
Ge 5.608 4.281 4.964
Ge 8.005 0.257 4.964
Ge 8.818 3.467 2.082
```

Peak list (12 most intense, 5 to 70 degrees two-theta, in order of rising 2θ)
2θ (°), d [Å], I_rel
26.87, 3.318, 52
31.17, 2.870, 100
31.92, 2.803, 13
32.60, 2.747, 52
34.93, 2.569, 14
38.30, 2.350, 18
39.05, 2.307, 18
43.36, 2.087, 27
44.66, 2.029, 32
47.99, 1.896, 23
52.30, 1.749, 18
52.89, 1.731, 14

=====

Entry 6:
This entry pairs a crystal structure of Er6InGe2S3 with its theoretical powder diffraction line list. Radiation: copper Kα. Structure: a DFT-relaxed cell (PBE, Alexandria).

Cell and atoms:
```
12
Lattice="8.991 -2.003 0.000 8.991 2.003 0.000 -2.691 0.000 7.731" Properties=species:S:1:pos:R:3 pbc="T T T"
Er -0.470 0.000 1.757
Er 4.709 0.000 3.282
Er 3.444 0.000 7.190
Er 11.848 0.000 0.542
Er 10.582 0.000 4.449
Er 15.762 0.000 5.974
In 7.646 0.000 3.866
Ge 0.673 0.000 6.284
Ge 14.618 0.000 1.447
S 2.158 0.000 2.493
S 8.991 0.000 0.000
S 13.133 0.000 5.238
```

Peak list (12 most intense, 5 to 70 degrees two-theta, in order of rising 2θ)
2θ (°), d [Å], I_rel
25.56, 3.485, 15
27.27, 3.270, 30
28.34, 3.149, 14
31.33, 2.855, 100
31.61, 2.830, 49
43.30, 2.090, 36
44.52, 2.035, 16
45.26, 2.003, 19
46.85, 1.939, 33
52.52, 1.743, 8
56.26, 1.635, 19
65.37, 1.428, 10

=====

Entry 7:
This entry pairs a crystal structure of ErGe3Ir5 with its theoretical powder diffraction line list. Radiation: copper Kα. Structure: a DFT-relaxed cell (PBE, Alexandria).

Cell and atoms:
```
18
Lattice="1.960 -6.483 0.000 1.960 6.483 0.000 0.000 0.000 12.597" Properties=species:S:1:pos:R:3 pbc="T T T"
Er 1.960 5.110 9.447
Er 1.960 -5.110 3.149
Ge 1.960 4.686 3.149
Ge 1.960 1.527 0.567
Ge 1.960 1.527 5.731
Ge 1.960 -1.527 6.865
Ge 1.960 -1.527 12.030
Ge 1.960 -4.686 9.447
Ir 0.000 0.000 0.000
Ir 0.000 0.000 6.298
Ir 1.960 3.880 0.866
Ir 1.960 3.880 5.432
Ir 1.960 0.648 8.156
Ir 1.960 0.648 10.739
Ir 1.960 -0.648 1.858
Ir 1.960 -0.648 4.441
Ir 1.960 -3.880 7.164
Ir 1.960 -3.880 11.731
```

Peak list (12 most intense, 5 to 70 degrees two-theta, in order of rising 2θ)
2θ (°), d [Å], I_rel
13.66, 6.483, 40
14.06, 6.298, 33
31.62, 2.829, 74
31.99, 2.798, 74
37.28, 2.412, 100
42.38, 2.133, 46
43.26, 2.092, 40
44.28, 2.045, 99
45.41, 1.997, 34
45.61, 1.989, 48
46.32, 1.960, 66
67.06, 1.396, 43

=====

Entry 8:
This entry pairs a crystal structure of ErGe7Ir3 with its theoretical powder diffraction line list. Radiation: copper Kα. Structure: a DFT-relaxed cell (PBE, Alexandria).

Cell and atoms:
```
22
Lattice="3.956 2.284 6.982 -3.956 2.284 6.982 0.000 -4.567 6.982" Properties=species:S:1:pos:R:3 pbc="T T T"
Er 0.000 0.000 0.000
Er 0.000 0.000 10.473
Ge -3.077 -0.941 11.109
Ge -0.723 -3.135 9.836
Ge -0.723 -1.432 7.618
Ge 0.000 0.000 5.236
Ge -2.353 2.194 9.836
Ge -0.879 1.343 7.618
Ge -1.602 -0.090 13.327
Ge 1.602 0.090 7.618
Ge 0.879 -1.343 13.327
Ge 2.353 -2.194 11.109
Ge 0.000 0.000 15.709
Ge 0.723 1.432 13.327
Ge 0.723 3.135 11.109
Ge 3.077 0.941 9.836
Ir -2.690 -0.092 8.727
Ir -1.265 -2.376 12.218
Ir 1.425 -2.284 8.727
Ir -1.425 2.284 12.218
Ir 1.265 2.376 8.727
Ir 2.690 0.092 12.218
```

Peak list (12 most intense, 5 to 70 degrees two-theta, in order of rising 2θ)
2θ (°), d [Å], I_rel
25.89, 3.442, 100
34.26, 2.617, 44
34.91, 2.570, 34
36.75, 2.446, 32
38.80, 2.321, 44
39.46, 2.284, 59
45.21, 2.006, 76
47.58, 1.911, 35
47.80, 1.903, 56
63.65, 1.462, 29
67.55, 1.387, 35
68.24, 1.374, 20